# 1
For Li4Al3Cu6, DFT lattice parameters and positions (GGA-PBE) gives the theoretical PXRD pattern in this record (CuKα).

Largest 12 diffraction maxima, low angle first, 10 to 90 degrees two-theta:
d (Å)  Rel. int.
4.366  100
3.438  21
2.183  16
2.153  17
2.143  16
2.130  13
2.114  45
2.000  42
1.914  24
1.819  17
1.620  17
1.184  12

Crystal structure
Cell: 4.919 4.919 17.462 Å, 90.00 90.00 120.00°
Positions (direct):
Li  0.000  0.000  0.250
Li  0.000  0.000  0.750
Li  0.333  0.667  0.020
Li  0.333  0.667  0.480
Li  0.333  0.667  0.750
Li  0.667  0.333  0.250
Li  0.667  0.333  0.520
Li  0.667  0.333  0.980
Al  0.000  0.000  0.000
Al  0.000  0.000  0.500
Al  0.333  0.667  0.171
Al  0.333  0.667  0.329
Al  0.667  0.333  0.671
Al  0.667  0.333  0.829
Cu  0.169  0.337  0.617
Cu  0.169  0.337  0.883
Cu  0.169  0.831  0.617
Cu  0.169  0.831  0.883
Cu  0.337  0.169  0.117
Cu  0.337  0.169  0.383
Cu  0.663  0.831  0.617
Cu  0.663  0.831  0.883
Cu  0.831  0.169  0.117
Cu  0.831  0.169  0.383
Cu  0.831  0.663  0.117
Cu  0.831  0.663  0.383

# 2
For Li3Al3Cu5, DFT lattice parameters and positions (GGA-PBE) gives the theoretical PXRD pattern in this record (CuKα).

Largest 12 diffraction maxima, low angle first, 10 to 90 degrees two-theta:
d (Å)  Rel. int.
7.401  65
4.273  59
2.797  26
2.558  24
2.467  100
2.195  60
2.137  19
2.104  22
1.776  62
1.640  18
1.615  19
1.245  23

Crystal structure
Cell: 8.546 8.546 2.558 Å, 90.00 90.00 120.00°
Positions (direct):
Li  0.000  0.833  0.000
Li  0.167  0.167  0.000
Li  0.833  0.000  0.000
Al  0.000  0.566  0.500
Al  0.434  0.434  0.500
Al  0.566  0.000  0.500
Cu  0.000  0.323  0.000
Cu  0.323  0.000  0.000
Cu  0.333  0.667  0.000
Cu  0.667  0.333  0.000
Cu  0.677  0.677  0.000

# 3
For Li2Al3Cu8, DFT lattice parameters and positions (GGA-PBE) gives the theoretical PXRD pattern in this record (CuKα).

Largest 12 diffraction maxima, low angle first, 10 to 90 degrees two-theta:
d (Å)  Rel. int.
4.509  83
3.295  14
3.006  22
2.830  47
2.117  55
2.053  100
1.986  71
1.939  16
1.875  35
1.861  20
1.324  21
1.199  21

Crystal structure
Cell: 9.435 9.435 9.435 Å, 29.46 29.46 29.46°
Positions (direct):
Li  0.138  0.138  0.138
Li  0.862  0.862  0.862
Al  0.315  0.315  0.315
Al  0.500  0.500  0.500
Al  0.685  0.685  0.685
Cu  0.226  0.226  0.226
Cu  0.229  0.229  0.727
Cu  0.229  0.727  0.229
Cu  0.273  0.771  0.771
Cu  0.727  0.229  0.229
Cu  0.771  0.273  0.771
Cu  0.771  0.771  0.273
Cu  0.774  0.774  0.774